1.
This entry pairs a crystal structure of MgMn12O14F10 with its calculated X-ray powder pattern. Radiation: Cu Kα, 1.54184 Å. Structure: a structure optimized by DFT (PBE+U).
Intensities are scaled so that the largest is 100.

The 8 most intense peaks (2θ = 10–90°), in order of rising 2θ:
24.04 deg, d = 3.702 Å, rel. 60, hkl 1 1 0
24.32 deg, d = 3.660 Å, rel. 59, hkl 1 -1 0
29.57 deg, d = 3.021 Å, rel. 54, hkl 1 1 3
29.99 deg, d = 2.980 Å, rel. 100, hkl 1 -1 3
30.02 deg, d = 2.976 Å, rel. 48, hkl -1 1 3
51.85 deg, d = 1.763 Å, rel. 45, hkl 2 0 6
52.44 deg, d = 1.745 Å, rel. 26, hkl 2 0 -6
53.15 deg, d = 1.723 Å, rel. 46, hkl 2 -2 3

Atomic structure:
Cell: 4.814 5.714 15.367 Å, 89.40 89.41 89.33°
Space group P1 (No. 1)
One atom of each set of equivalent atoms:
1 Mg 0.000 0.000 0.000 x1
2 Mn 0.022 0.747 0.813 x1
3 Mn 0.033 0.442 0.650 x1
4 Mn 0.039 0.778 0.494 x1
5 Mn 0.040 0.463 0.332 x1
6 Mn 0.040 0.469 0.994 x1
7 Mn 0.044 0.775 0.171 x1
8 Mn 0.501 0.259 0.169 x1
9 Mn 0.504 0.971 0.012 x1
10 Mn 0.512 0.950 0.338 x1
11 Mn 0.514 0.949 0.667 x1
12 Mn 0.521 0.253 0.835 x1
13 Mn 0.527 0.240 0.508 x1
14 O 0.230 0.728 0.386 x1
15 O 0.233 0.746 0.055 x1
16 O 0.237 0.494 0.879 x1
17 O 0.237 0.708 0.706 x1
18 O 0.242 0.502 0.224 x1
19 O 0.250 0.489 0.546 x1
20 O 0.266 0.222 0.052 x1
21 O 0.303 0.008 0.560 x1
22 O 0.311 0.010 0.231 x1
23 O 0.716 0.973 0.776 x1
24 O 0.725 0.212 0.947 x1
25 O 0.738 0.220 0.609 x1
26 O 0.741 0.992 0.443 x1
27 O 0.766 0.987 0.111 x1
28 F 0.243 0.981 0.896 x1
29 F 0.270 0.216 0.733 x1
30 F 0.298 0.227 0.400 x1
31 F 0.765 0.233 0.283 x1
32 F 0.769 0.484 0.108 x1
33 F 0.776 0.475 0.438 x1
34 F 0.782 0.474 0.758 x1
35 F 0.782 0.740 0.942 x1
36 F 0.784 0.734 0.272 x1
37 F 0.792 0.728 0.596 x1

2.
This entry pairs a crystal structure of MgMn8O8F8 with its calculated X-ray powder pattern. Radiation: Cu Kα, 1.54184 Å. Structure: a structure optimized by DFT (PBE+U).
Intensities are scaled so that the largest is 100.

The 8 most intense peaks (2θ = 10–90°), in order of rising 2θ:
25.58 deg, d = 3.482 Å, rel. 100, hkl 1 -1 0
25.98 deg, d = 3.429 Å, rel. 92, hkl 1 1 0
33.54 deg, d = 2.672 Å, rel. 32, hkl 0 1 -4
33.88 deg, d = 2.646 Å, rel. 30, hkl 1 0 -4
33.98 deg, d = 2.638 Å, rel. 28, hkl 1 0 4
34.24 deg, d = 2.619 Å, rel. 23, hkl 0 1 4
50.53 deg, d = 1.806 Å, rel. 32, hkl 1 2 -4
50.85 deg, d = 1.796 Å, rel. 31, hkl 2 1 -4

Atomic structure:
Cell: 4.879 4.897 12.577 Å, 91.25 90.16 90.88°
Space group P1 (No. 1)
One atom of each set of equivalent atoms:
1 Mg 0.000 0.000 0.000 x1
2 Mn 0.031 0.523 0.560 x1
3 Mn 0.033 0.518 0.074 x1
4 Mn 0.033 0.518 0.319 x1
5 Mn 0.462 0.014 0.195 x1
6 Mn 0.467 0.029 0.679 x1
7 Mn 0.509 0.905 0.915 x1
8 Mn 0.528 0.955 0.439 x1
9 Mn 0.957 0.457 0.801 x1
10 O 0.175 0.316 0.682 x1
11 O 0.189 0.332 0.189 x1
12 O 0.310 0.811 0.057 x1
13 O 0.316 0.815 0.562 x1
14 O 0.335 0.796 0.322 x1
15 O 0.680 0.164 0.808 x1
16 O 0.838 0.664 0.941 x1
17 O 0.848 0.683 0.439 x1
18 F 0.213 0.270 0.933 x1
19 F 0.236 0.289 0.439 x1
20 F 0.241 0.780 0.800 x1
21 F 0.719 0.194 0.552 x1
22 F 0.722 0.215 0.062 x1
23 F 0.723 0.214 0.316 x1
24 F 0.757 0.702 0.684 x1
25 F 0.818 0.753 0.184 x1

3.
This entry pairs a crystal structure of MgMn6O10F2 with its calculated X-ray powder pattern. Radiation: Cu Kα, 1.54184 Å. Structure: a structure optimized by DFT (PBE+U).
Intensities are scaled so that the largest is 100.

The 8 most intense peaks (2θ = 10–90°), in order of rising 2θ:
23.73 deg, d = 3.749 Å, rel. 100, hkl 1 1 1
27.62 deg, d = 3.230 Å, rel. 69, hkl -1 1 1
35.35 deg, d = 2.539 Å, rel. 47, hkl 1 -1 2
35.97 deg, d = 2.497 Å, rel. 34, hkl 0 0 3
49.26 deg, d = 1.850 Å, rel. 24, hkl 2 2 -1
50.64 deg, d = 1.803 Å, rel. 29, hkl 1 3 0
54.88 deg, d = 1.673 Å, rel. 26, hkl -1 1 4
63.70 deg, d = 1.461 Å, rel. 23, hkl 3 1 -2

Atomic structure:
Cell: 5.110 5.633 7.580 Å, 82.18 84.59 82.74°
Space group P1 (No. 1)
One atom of each set of equivalent atoms:
1 Mg 0.000 0.000 0.000 x1
2 Mn 0.451 0.482 0.506 x1
3 Mn 0.502 0.861 0.203 x1
4 Mn 0.504 0.182 0.850 x1
5 Mn 0.955 0.627 0.825 x1
6 Mn 0.970 0.354 0.200 x1
7 Mn 0.978 0.008 0.511 x1
8 O 0.102 0.930 0.744 x1
9 O 0.134 0.291 0.419 x1
10 O 0.275 0.799 0.415 x1
11 O 0.289 0.455 0.746 x1
12 O 0.291 0.145 0.084 x1
13 O 0.657 0.537 0.280 x1
14 O 0.660 0.191 0.608 x1
15 O 0.671 0.866 0.958 x1
16 O 0.826 0.349 0.962 x1
17 O 0.832 0.058 0.273 x1
18 F 0.135 0.650 0.091 x1
19 F 0.784 0.714 0.584 x1

4.
This entry pairs a crystal structure of MgMn6O10F2 with its calculated X-ray powder pattern. Radiation: Cu Kα, 1.54184 Å. Structure: a structure optimized by DFT (PBE+U).
Intensities are scaled so that the largest is 100.

The 8 most intense peaks (2θ = 10–90°), in order of rising 2θ:
23.22 deg, d = 3.830 Å, rel. 100, hkl -1 1 1
27.74 deg, d = 3.216 Å, rel. 79, hkl 1 1 -1
35.45 deg, d = 2.532 Å, rel. 35, hkl 1 0 2
35.79 deg, d = 2.509 Å, rel. 67, hkl 0 1 -3
38.65 deg, d = 2.329 Å, rel. 29, hkl 2 -2 1
49.77 deg, d = 1.832 Å, rel. 36, hkl 1 0 -4
54.69 deg, d = 1.678 Å, rel. 31, hkl 1 2 -4
64.14 deg, d = 1.452 Å, rel. 26, hkl 1 2 2

Atomic structure:
Cell: 5.726 5.874 7.658 Å, 106.64 99.14 112.63°
Space group P1 (No. 1)
One atom of each set of equivalent atoms:
1 Mg 0.000 0.000 0.000 x1
2 Mn 0.003 0.510 0.011 x1
3 Mn 0.031 0.936 0.490 x1
4 Mn 0.380 0.940 0.813 x1
5 Mn 0.382 0.555 0.373 x1
6 Mn 0.640 0.087 0.239 x1
7 Mn 0.680 0.483 0.682 x1
8 O 0.113 0.658 0.299 x1
9 O 0.282 0.854 0.031 x1
10 O 0.392 0.147 0.655 x1
11 O 0.437 0.643 0.633 x1
12 O 0.605 0.387 0.411 x1
13 O 0.667 0.848 0.375 x1
14 O 0.740 0.158 0.999 x1
15 O 0.753 0.627 0.957 x1
16 O 0.930 0.365 0.747 x1
17 O 0.991 0.834 0.715 x1
18 F 0.063 0.158 0.305 x1
19 F 0.273 0.371 0.069 x1

5.
This entry pairs a crystal structure of MgMn6O10F2 with its calculated X-ray powder pattern. Radiation: Cu Kα, 1.54184 Å. Structure: a structure optimized by DFT (PBE+U).
Intensities are scaled so that the largest is 100.

The 8 most intense peaks (2θ = 10–90°), in order of rising 2θ:
23.26 deg, d = 3.824 Å, rel. 100, hkl 1 -1 0
27.79 deg, d = 3.210 Å, rel. 69, hkl 1 1 2
35.20 deg, d = 2.550 Å, rel. 23, hkl 1 2 0
35.31 deg, d = 2.542 Å, rel. 18, hkl 0 1 -2
35.81 deg, d = 2.507 Å, rel. 20, hkl 1 0 -2
36.03 deg, d = 2.493 Å, rel. 16, hkl 0 2 2
48.81 deg, d = 1.866 Å, rel. 17, hkl 1 -2 2
54.24 deg, d = 1.691 Å, rel. 23, hkl 1 0 4

Atomic structure:
Cell: 5.656 5.915 7.076 Å, 73.02 73.00 82.82°
Space group P1 (No. 1)
One atom of each set of equivalent atoms:
1 Mg 0.000 0.000 0.000 x1
2 Mn 0.372 0.817 0.173 x1
3 Mn 0.385 0.774 0.664 x1
4 Mn 0.608 0.217 0.339 x1
5 Mn 0.625 0.174 0.829 x1
6 Mn 0.990 0.503 0.000 x1
7 Mn 0.996 0.497 0.500 x1
8 O 0.100 0.595 0.706 x1
9 O 0.239 0.726 0.963 x1
10 O 0.310 0.148 0.002 x1
11 O 0.344 0.504 0.337 x1
12 O 0.430 0.936 0.374 x1
13 O 0.565 0.055 0.629 x1
14 O 0.650 0.488 0.666 x1
15 O 0.690 0.842 0.001 x1
16 O 0.755 0.268 0.038 x1
17 O 0.891 0.400 0.295 x1
18 F 0.002 0.862 0.296 x1
19 F 0.994 0.132 0.705 x1

6.
This entry pairs a crystal structure of MgMn5O7F with its calculated X-ray powder pattern. Radiation: Cu Kα, 1.54184 Å. Structure: a structure optimized by DFT (PBE+U).
Intensities are scaled so that the largest is 100.

The 8 most intense peaks (2θ = 10–90°), in order of rising 2θ:
16.96 deg, d = 5.228 Å, rel. 63, hkl 0 0 1
17.43 deg, d = 5.087 Å, rel. 39, hkl 1 1 0
32.94 deg, d = 2.719 Å, rel. 45, hkl 1 1 -2
33.70 deg, d = 2.660 Å, rel. 65, hkl 2 2 -1
40.49 deg, d = 2.228 Å, rel. 100, hkl 2 2 -2
42.27 deg, d = 2.138 Å, rel. 39, hkl 4 0 0
58.37 deg, d = 1.581 Å, rel. 63, hkl 0 4 0
61.50 deg, d = 1.508 Å, rel. 38, hkl 6 2 -2

Atomic structure:
Cell: 10.292 6.327 6.290 Å, 90.00 123.79 90.00°
Space group Cm (No. 8)
One atom of each set of equivalent atoms:
1 Mg 0.000 0.000 0.000 x2
2 Mn 0.227 0.250 0.863 x4
3 Mn 0.356 0.500 0.447 x2
4 Mn 0.472 0.000 0.868 x2
5 Mn 0.498 0.000 0.387 x2
6 O 0.000 0.258 0.656 x4
7 O 0.205 0.500 0.054 x2
8 O 0.247 0.000 0.697 x2
9 O 0.257 0.500 0.662 x2
10 O 0.454 0.230 0.101 x4
11 F 0.221 0.000 0.134 x2

7.
This entry pairs a crystal structure of MgMn6O5F7 with its calculated X-ray powder pattern. Radiation: Cu Kα, 1.54184 Å. Structure: a structure optimized by DFT (PBE+U).
Intensities are scaled so that the largest is 100.

The 8 most intense peaks (2θ = 10–90°), in order of rising 2θ:
17.87 deg, d = 4.965 Å, rel. 100, hkl 1 0 -1
23.96 deg, d = 3.714 Å, rel. 72, hkl -1 1 1
24.41 deg, d = 3.646 Å, rel. 65, hkl 1 1 -1
33.64 deg, d = 2.664 Å, rel. 49, hkl 1 0 2
37.31 deg, d = 2.410 Å, rel. 46, hkl 2 -2 1
37.79 deg, d = 2.381 Å, rel. 41, hkl 1 2 -1
38.90 deg, d = 2.315 Å, rel. 36, hkl 0 0 3
50.03 deg, d = 1.823 Å, rel. 38, hkl 2 2 -2

Atomic structure:
Cell: 5.966 6.298 7.698 Å, 111.49 96.50 106.64°
Space group P1 (No. 1)
One atom of each set of equivalent atoms:
1 Mg 0.000 0.000 0.000 x1
2 Mn 0.042 0.512 0.982 x1
3 Mn 0.386 0.497 0.324 x1
4 Mn 0.400 0.934 0.800 x1
5 Mn 0.418 0.979 0.291 x1
6 Mn 0.686 0.505 0.648 x1
7 Mn 0.998 0.080 0.533 x1
8 O 0.169 0.646 0.258 x1
9 O 0.245 0.823 0.996 x1
10 O 0.454 0.649 0.602 x1
11 O 0.601 0.338 0.376 x1
12 O 0.921 0.368 0.706 x1
13 F 0.086 0.142 0.286 x1
14 F 0.291 0.289 0.028 x1
15 F 0.375 0.133 0.621 x1
16 F 0.678 0.823 0.336 x1
17 F 0.740 0.686 0.933 x1
18 F 0.792 0.187 0.968 x1
19 F 0.989 0.880 0.710 x1

8.
This entry pairs a crystal structure of MgMn6O10F2 with its calculated X-ray powder pattern. Radiation: Cu Kα, 1.54184 Å. Structure: a structure optimized by DFT (PBE+U).
Intensities are scaled so that the largest is 100.

The 8 most intense peaks (2θ = 10–90°), in order of rising 2θ:
23.33 deg, d = 3.812 Å, rel. 100, hkl -1 1 1
28.00 deg, d = 3.187 Å, rel. 72, hkl 1 1 -1
35.60 deg, d = 2.522 Å, rel. 21, hkl 1 0 2
35.87 deg, d = 2.503 Å, rel. 48, hkl 0 1 -3
36.27 deg, d = 2.477 Å, rel. 26, hkl 0 2 0
38.79 deg, d = 2.322 Å, rel. 19, hkl 0 0 3
49.90 deg, d = 1.828 Å, rel. 40, hkl 3 -2 0
55.00 deg, d = 1.670 Å, rel. 32, hkl 1 2 -4

Atomic structure:
Cell: 5.712 5.818 7.641 Å, 106.62 99.17 112.87°
Space group P1 (No. 1)
One atom of each set of equivalent atoms:
1 Mg 0.000 0.000 0.000 x1
2 Mn 0.000 0.000 0.501 x1
3 Mn 0.000 0.500 0.001 x1
4 Mn 0.342 0.514 0.345 x1
5 Mn 0.363 0.944 0.796 x1
6 Mn 0.637 0.055 0.206 x1
7 Mn 0.657 0.484 0.657 x1
8 O 0.023 0.159 0.303 x1
9 O 0.254 0.384 0.075 x1
10 O 0.280 0.857 0.022 x1
11 O 0.378 0.147 0.632 x1
12 O 0.425 0.635 0.620 x1
13 O 0.575 0.364 0.381 x1
14 O 0.622 0.852 0.370 x1
15 O 0.720 0.143 0.980 x1
16 O 0.745 0.616 0.927 x1
17 O 0.977 0.839 0.699 x1
18 F 0.082 0.661 0.315 x1
19 F 0.917 0.337 0.687 x1